# 1
The following is a simulated X-ray powder pattern of Cr2Ge3O8. It was derived from a DFT-relaxed cell (PBE+U, Alexandria), using Cu Kα X-rays.

Structure:
a b c (Å): 10.3974 5.8147 4.9976
angles (deg): 90.00 103.16 90.00
Space group C2/m (No. 12)
One atom of each set of equivalent atoms:
Cr1 0.2230 0.0000 0.0818 (multiplicity 4)
Ge1 0.0000 0.2366 0.5000 (multiplicity 4)
Ge2 0.0000 0.5000 0.0000 (multiplicity 2)
O1 0.0945 0.5000 0.3718 (multiplicity 4)
O2 0.1029 0.0000 0.4060 (multiplicity 4)
O3 0.1117 0.2753 0.8738 (multiplicity 8)

Main lines, in order of rising 2θ (2θ from 10° to 90°):
2θ = 17.53°, I = 100, hkl 2 0 0
2θ = 22.27°, I = 50, hkl 2 0 -1
2θ = 26.87°, I = 43, hkl 1 1 1
2θ = 28.18°, I = 35, hkl 2 0 1
2θ = 30.63°, I = 22, hkl 3 1 0
2θ = 32.52°, I = 41, hkl 3 1 -1
2θ = 35.61°, I = 30, hkl 2 2 0
2θ = 35.98°, I = 54, hkl 0 2 1
2θ = 36.94°, I = 42, hkl 0 0 2
2θ = 38.30°, I = 41, hkl 2 2 -1
2θ = 48.12°, I = 64, hkl 4 2 -1
2θ = 54.58°, I = 51, hkl 4 2 1

# 2
The following is a simulated X-ray powder pattern of CrGe2Pb3O9. It was derived from a DFT-relaxed cell (PBE+U, Alexandria), using Cu Kα X-rays.

Structure:
a b c (Å): 5.5154 5.5154 6.7669
angles (deg): 90.00 90.00 120.00
Space group P-3m1 (No. 164)
One atom of each set of equivalent atoms:
Cr1 0.0000 0.0000 0.0000 (multiplicity 1)
Ge1 0.3333 0.6667 0.6675 (multiplicity 2)
Pb1 0.0000 0.0000 0.5000 (multiplicity 1)
Pb2 0.3333 0.6667 0.1675 (multiplicity 2)
O1 0.0000 0.5000 0.5000 (multiplicity 3)
O2 0.1694 0.3389 0.8279 (multiplicity 6)

Main lines, in order of rising 2θ (2θ from 10° to 90°):
2θ = 22.79°, I = 24, hkl 1 0 1
2θ = 32.45°, I = 100, hkl 1 1 0
2θ = 40.02°, I = 20, hkl 0 2 1
2θ = 46.55°, I = 29, hkl 2 0 2
2θ = 52.43°, I = 13, hkl 2 1 1
2θ = 57.88°, I = 40, hkl 3 0 0
2θ = 67.94°, I = 18, hkl 2 2 0
2θ = 72.66°, I = 4, hkl 0 3 3
2θ = 72.74°, I = 3, hkl 1 3 1
2θ = 77.32°, I = 18, hkl 3 1 2
2θ = 81.86°, I = 5, hkl 2 2 3
2θ = 86.41°, I = 5, hkl 0 4 2

# 3
The following is a simulated X-ray powder pattern of CrGePdO. It was derived from a DFT-relaxed cell (PBE+U, Alexandria), using Cu Kα X-rays.

Structure:
a b c (Å): 3.1022 3.1022 7.1912
angles (deg): 90.00 90.00 120.00
Space group P3m1 (No. 156)
One atom of each set of equivalent atoms:
Cr1 0.0000 0.0000 0.0000 (multiplicity 1)
Ge1 0.3333 0.6667 0.3162 (multiplicity 1)
Pd1 0.6667 0.3333 0.5602 (multiplicity 1)
O1 0.6667 0.3333 0.8836 (multiplicity 1)

Main lines, in order of rising 2θ (2θ from 10° to 90°):
2θ = 12.31°, I = 34, hkl 0 0 1
2θ = 24.76°, I = 12, hkl 0 0 2
2θ = 33.35°, I = 9, hkl 1 0 0
2θ = 35.68°, I = 100, hkl 0 1 1
2θ = 37.52°, I = 13, hkl 0 0 3
2θ = 41.98°, I = 58, hkl 1 0 2
2θ = 51.06°, I = 32, hkl 1 0 3
2θ = 59.60°, I = 26, hkl 1 1 0
2θ = 71.44°, I = 12, hkl 2 0 1
2θ = 72.60°, I = 10, hkl 1 1 3
2θ = 75.56°, I = 10, hkl 0 2 2
2θ = 82.06°, I = 11, hkl 1 1 4

# 4
The following is a simulated X-ray powder pattern of CrGePdO. It was derived from a DFT-relaxed cell (PBE+U, Alexandria), using Cu Kα X-rays.

Structure:
a b c (Å): 5.2257 3.0402 7.4029
angles (deg): 90.00 90.03 90.00
Space group Cm (No. 8)
One atom of each set of equivalent atoms:
Cr1 0.0000 0.0000 0.0000 (multiplicity 2)
Ge1 0.1683 0.5000 0.5677 (multiplicity 2)
Pd1 0.3337 0.0000 0.2931 (multiplicity 2)
O1 0.1659 0.5000 0.8684 (multiplicity 2)

Main lines, in order of rising 2θ (2θ from 10° to 90°):
2θ = 11.95°, I = 60, hkl 0 0 1
2θ = 36.27°, I = 100, hkl 1 1 -1
2θ = 36.45°, I = 81, hkl 2 0 1
2θ = 42.18°, I = 67, hkl 1 1 2
2θ = 42.34°, I = 32, hkl 2 0 -2
2θ = 49.23°, I = 14, hkl 0 0 4
2θ = 50.76°, I = 22, hkl 1 1 3
2θ = 60.95°, I = 12, hkl 0 2 0
2θ = 61.31°, I = 34, hkl 3 1 0
2θ = 73.14°, I = 19, hkl 2 2 1
2θ = 73.44°, I = 27, hkl 1 1 -5
2θ = 82.38°, I = 12, hkl 3 1 -4

# 5
The following is a simulated X-ray powder pattern of CrGePdO. It was derived from a DFT-relaxed cell (PBE+U, Alexandria), using Cu Kα X-rays.

Structure:
a b c (Å): 12.3874 3.0949 3.3230
angles (deg): 90.00 90.14 90.00
Space group Cm (No. 8)
One atom of each set of equivalent atoms:
Cr1 0.0000 0.0000 0.0000 (multiplicity 2)
Ge1 0.2501 0.5000 0.9963 (multiplicity 2)
Pd1 0.3395 0.0000 0.4973 (multiplicity 2)
O1 0.1033 0.5000 0.9970 (multiplicity 2)

Main lines, in order of rising 2θ (2θ from 10° to 90°):
2θ = 14.30°, I = 85, hkl 2 0 0
2θ = 28.83°, I = 17, hkl 4 0 0
2θ = 30.53°, I = 37, hkl 2 0 1
2θ = 36.27°, I = 55, hkl 3 1 0
2θ = 39.79°, I = 50, hkl 4 0 -1
2θ = 40.49°, I = 100, hkl 1 1 -1
2θ = 46.98°, I = 25, hkl 5 1 0
2θ = 54.93°, I = 11, hkl 5 1 -1
2θ = 55.29°, I = 15, hkl 0 0 2
2θ = 59.75°, I = 17, hkl 0 2 0
2θ = 60.24°, I = 10, hkl 7 1 0
2θ = 74.21°, I = 15, hkl 4 2 -1

# 6
The following is a simulated X-ray powder pattern of PmCrGeO5. It was derived from a DFT-relaxed cell (PBE+U, Alexandria), using Cu Kα X-rays.

Structure:
a b c (Å): 6.6807 8.7709 8.2743
angles (deg): 90.00 110.12 90.00
Space group C2/c (No. 15)
One atom of each set of equivalent atoms:
Pm1 0.0000 0.0000 0.0000 (multiplicity 4)
Cr1 0.0000 0.3434 0.2500 (multiplicity 4)
Ge1 0.0000 0.3240 0.7500 (multiplicity 4)
O1 0.0000 0.1333 0.2500 (multiplicity 4)
O2 0.1293 0.4645 0.9055 (multiplicity 8)
O3 0.1720 0.1882 0.7035 (multiplicity 8)

Main lines, in order of rising 2θ (2θ from 10° to 90°):
2θ = 17.38°, I = 28, hkl 1 1 0
2θ = 24.61°, I = 100, hkl 1 1 -2
2θ = 28.46°, I = 56, hkl 2 0 0
2θ = 30.75°, I = 75, hkl 0 2 2
2θ = 32.65°, I = 26, hkl 1 1 2
2θ = 33.82°, I = 53, hkl 1 3 0
2θ = 36.32°, I = 21, hkl 2 2 -2
2θ = 42.73°, I = 28, hkl 3 1 -2
2θ = 47.62°, I = 19, hkl 0 4 2
2θ = 47.82°, I = 20, hkl 2 2 2
2θ = 53.91°, I = 23, hkl 3 3 0
2θ = 54.35°, I = 23, hkl 1 3 -4

# 7
The following is a simulated X-ray powder pattern of CrGeSO. It was derived from a DFT-relaxed cell (PBE+U, Alexandria), using Cu Kα X-rays.

Structure:
a b c (Å): 5.6042 3.2329 7.7249
angles (deg): 90.00 102.75 90.00
Space group Cm (No. 8)
One atom of each set of equivalent atoms:
Cr1 0.0000 0.0000 0.0000 (multiplicity 2)
Ge1 0.0467 0.5000 0.6042 (multiplicity 2)
S1 0.3899 0.0000 0.1863 (multiplicity 2)
O1 0.1226 0.5000 0.8549 (multiplicity 2)

Main lines, in order of rising 2θ (2θ from 10° to 90°):
2θ = 11.75°, I = 38, hkl 0 0 1
2θ = 23.62°, I = 54, hkl 0 0 2
2θ = 32.77°, I = 44, hkl 2 0 0
2θ = 33.04°, I = 100, hkl 1 1 -1
2θ = 35.63°, I = 22, hkl 1 1 1
2θ = 35.75°, I = 20, hkl 0 0 3
2θ = 37.40°, I = 19, hkl 2 0 1
2θ = 37.98°, I = 26, hkl 1 1 -2
2θ = 42.50°, I = 30, hkl 1 1 2
2θ = 45.87°, I = 32, hkl 1 1 -3
2θ = 56.95°, I = 47, hkl 0 2 0
2θ = 62.56°, I = 27, hkl 1 1 4

# 8
The following is a simulated X-ray powder pattern of SmCrGeO5. It was derived from a DFT-relaxed cell (PBE+U, Alexandria), using Cu Kα X-rays.

Structure:
a b c (Å): 7.5204 8.5993 5.8421
angles (deg): 90.00 90.00 90.00
Space group Pbam (No. 55)
One atom of each set of equivalent atoms:
Sm1 0.1429 0.1740 0.0000 (multiplicity 4)
Cr1 0.0000 0.5000 0.2523 (multiplicity 4)
Ge1 0.1150 0.8569 0.5000 (multiplicity 4)
O1 0.0000 0.0000 0.2904 (multiplicity 4)
O2 0.1042 0.7185 0.2545 (multiplicity 8)
O3 0.1624 0.4252 0.5000 (multiplicity 4)
O4 0.1668 0.4463 0.0000 (multiplicity 4)

Main lines, in order of rising 2θ (2θ from 10° to 90°):
2θ = 15.17°, I = 16, hkl 0 0 1
2θ = 28.37°, I = 72, hkl 1 2 1
2θ = 30.11°, I = 100, hkl 2 1 1
2θ = 30.61°, I = 17, hkl 0 0 2
2θ = 33.46°, I = 32, hkl 1 3 0
2θ = 34.55°, I = 23, hkl 1 1 2
2θ = 40.49°, I = 18, hkl 2 1 2
2θ = 44.62°, I = 15, hkl 3 2 1
2θ = 46.61°, I = 17, hkl 1 4 1
2θ = 54.10°, I = 19, hkl 2 1 3
2θ = 58.21°, I = 22, hkl 3 3 2
2θ = 58.37°, I = 15, hkl 4 0 2